Theoretical PXRD pattern of LiLaTa2 for Cu Kα, from a cell relaxed with GGA-PBE.
Lines closer than 0.1° are merged.

Main lines, in order of rising 2θ (10 to 90 degrees two-theta):
2θ 22.35, 3.978 Å, rel. 303
2θ 25.86, 3.445 Å, rel. 88
2θ 36.90, 2.436 Å, rel. 1000
2θ 43.56, 2.078 Å, rel. 162
2θ 53.17, 1.723 Å, rel. 176
2θ 58.38, 1.581 Å, rel. 69
2θ 66.48, 1.406 Å, rel. 361
2θ 78.53, 1.218 Å, rel. 113

Structure:
```
LiLaTa2
1.0
0.0000 3.4452 3.4452
3.4452 0.0000 3.4452
3.4452 3.4452 0.0000
Li La Ta
1 1 2
Direct
0.0000 0.0000 0.0000
0.7500 0.7500 0.7500
0.2500 0.2500 0.2500
0.5000 0.5000 0.5000
```